Entry 1:
The following is a computed powder diffraction line list of HoH5. It was derived from a crystal structure in Alexandria, relaxed with GGA-PBE, using CuKα.
Lines closer than 0.1° are merged.

The 10 most intense peaks (2θ from 10° to 80°), low angle first:
| two_theta | Rel. int. | (hkl) |
| --- | --- | --- |
| 24.86 | 70 | 0 2 0 |
| 25.62 | 66 | 0 0 1 |
| 28.62 | 100 | 1 1 0 |
| 36.01 | 54 | 0 2 1 |
| 38.79 | 90 | 1 1 1 |
| 46.18 | 27 | 1 3 0 |
| 53.56 | 38 | 1 3 1 |
| 61.03 | 24 | 1 1 2 |
| 65.62 | 19 | 2 2 1 |
| 72.60 | 14 | 1 3 2 |

Structural model:
```
data_HoH5
_chemical_formula_sum 'Ho2 H10'
_symmetry_space_group_name_H-M 'C m m m'
_symmetry_Int_Tables_number 65
_symmetry_space_group_name_Hall '-C 2 2'
_cell_length_a 3.4642
_cell_length_b 7.1618
_cell_length_c 3.4764
_cell_angle_alpha 90.00
_cell_angle_beta 90.00
_cell_angle_gamma 90.00
loop_
_atom_site_label
_atom_site_type_symbol
_atom_site_fract_x
_atom_site_fract_y
_atom_site_fract_z
Ho1 Ho 0.0000 0.0000 0.0000
H1 H 0.0000 0.1792 0.5000
H2 H 0.0000 0.3078 0.0000
H3 H 0.0000 0.5000 0.5000
```

***

Entry 2:
The following is a computed powder diffraction line list of HoH2I3. It was derived from a crystal structure in Alexandria, relaxed with GGA-PBE, using CuKα.
Lines closer than 0.1° are merged.

The 10 most intense peaks (2θ from 10° to 80°), low angle first:
| two_theta | Rel. int. | (hkl) |
| --- | --- | --- |
| 10.78 | 100 | 1 1 0 |
| 18.64 | 9 | 0 2 1 |
| 23.99 | 10 | 2 2 -1 |
| 25.46 | 13 | 2 2 1 |
| 27.04 | 10 | 3 1 -1 |
| 31.19 | 9 | 2 2 -2 |
| 32.81 | 10 | 1 3 -2 |
| 33.35 | 18 | 3 1 -2 |
| 33.49 | 10 | 2 2 2 |
| 44.27 | 12 | 3 5 0 |

Structural model:
```
data_HoH2I3
_chemical_formula_sum 'Ho4 H8 I12'
_symmetry_space_group_name_H-M 'C 1 2/c 1'
_symmetry_Int_Tables_number 15
_cell_length_a 11.0497
_cell_length_b 12.3285
_cell_length_c 7.5227
_cell_angle_alpha 90.00
_cell_angle_beta 95.34
_cell_angle_gamma 90.00
loop_
_symmetry_equiv_pos_as_xyz
'x,y,z'
'-x,-y,-z'
'-x,y,-z+1/2'
'x,-y,z+1/2'
'x+1/2,y+1/2,z'
'-x+1/2,-y+1/2,-z'
'-x+1/2,y+1/2,-z+1/2'
'x+1/2,-y+1/2,z+1/2'
loop_
_atom_site_label
_atom_site_type_symbol
_atom_site_fract_x
_atom_site_fract_y
_atom_site_fract_z
Ho1 Ho 0.0000 0.0000 0.0000
H1 H 0.0289 0.4965 0.0301
I1 I 0.0000 0.1930 0.2500
I2 I 0.1873 0.0970 0.7756
```

***

Entry 3:
The following is a computed powder diffraction line list of Ho2H2SeI. It was derived from a crystal structure in Alexandria, relaxed with GGA-PBE, using CuKα.
Lines closer than 0.1° are merged.

The 10 most intense peaks (2θ from 10° to 80°), low angle first:
| two_theta | Rel. int. | (hkl) |
| --- | --- | --- |
| 28.79 | 87 | 1 0 1 |
| 30.48 | 11 | 0 0 3 |
| 33.86 | 100 | 0 1 2 |
| 41.08 | 29 | 0 0 4 |
| 47.52 | 39 | 1 1 0 |
| 49.75 | 17 | 1 0 4 |
| 56.51 | 13 | 0 2 1 |
| 59.62 | 19 | 2 0 2 |
| 64.56 | 21 | 1 1 4 |
| 79.57 | 17 | 1 2 2 |

Structural model:
```
data_Ho2H2SeI
_chemical_formula_sum 'Ho2 H2 Se1 I1'
_symmetry_space_group_name_H-M 'P -3 m 1'
_symmetry_Int_Tables_number 164
_symmetry_space_group_name_Hall '-P 3 2"'
_cell_length_a 3.8269
_cell_length_b 3.8269
_cell_length_c 8.7983
_cell_angle_alpha 90.00
_cell_angle_beta 90.00
_cell_angle_gamma 120.00
loop_
_atom_site_label
_atom_site_type_symbol
_atom_site_fract_x
_atom_site_fract_y
_atom_site_fract_z
Ho1 Ho 0.3333 0.6667 0.2096
H1 H 0.3333 0.6667 0.7571
Se1 Se 0.0000 0.0000 0.0000
I1 I 0.0000 0.0000 0.5000
```

***

Entry 4:
The following is a computed powder diffraction line list of Ho2In2H. It was derived from a crystal structure in Alexandria, relaxed with GGA-PBE, using CuKα.
Lines closer than 0.1° are merged.

The 10 most intense peaks (2θ from 10° to 80°), low angle first:
| two_theta | Rel. int. | (hkl) |
| --- | --- | --- |
| 30.40 | 15 | 0 2 3 |
| 30.89 | 100 | 1 1 2 |
| 32.87 | 16 | 1 3 0 |
| 34.09 | 38 | 1 3 1 |
| 34.56 | 31 | 0 4 2 |
| 35.59 | 26 | 0 0 4 |
| 36.90 | 11 | 1 1 3 |
| 49.36 | 14 | 2 0 0 |
| 56.77 | 15 | 1 3 5 |
| 61.65 | 11 | 2 4 2 |

Structural model:
```
data_Ho2In2H
_chemical_formula_sum 'Ho8 In8 H4'
_symmetry_space_group_name_H-M 'C m c 21'
_symmetry_Int_Tables_number 36
_cell_length_a 3.6928
_cell_length_b 12.1081
_cell_length_c 10.0896
_cell_angle_alpha 90.00
_cell_angle_beta 90.00
_cell_angle_gamma 90.00
loop_
_symmetry_equiv_pos_as_xyz
'x,y,z'
'-x,-y,z+1/2'
'-x,y,z'
'x,-y,z+1/2'
'x+1/2,y+1/2,z'
'-x+1/2,-y+1/2,z+1/2'
'-x+1/2,y+1/2,z'
'x+1/2,-y+1/2,z+1/2'
loop_
_atom_site_label
_atom_site_type_symbol
_atom_site_fract_x
_atom_site_fract_y
_atom_site_fract_z
Ho1 Ho 0.0000 0.0522 0.0000
Ho2 Ho 0.0000 0.3518 0.7756
In1 In 0.0000 0.2234 0.5122
In2 In 0.0000 0.3897 0.2152
H1 H 0.0000 0.0905 0.2046
```

***

What did the first record say?
The following is a computed powder diffraction line list of HoH5. It was derived from a crystal structure in Alexandria, relaxed with GGA-PBE, using CuKα.
Lines closer than 0.1° are merged.

The 10 most intense peaks (2θ from 10° to 80°), low angle first:
| two_theta | Rel. int. | (hkl) |
| --- | --- | --- |
| 24.86 | 70 | 0 2 0 |
| 25.62 | 66 | 0 0 1 |
| 28.62 | 100 | 1 1 0 |
| 36.01 | 54 | 0 2 1 |
| 38.79 | 90 | 1 1 1 |
| 46.18 | 27 | 1 3 0 |
| 53.56 | 38 | 1 3 1 |
| 61.03 | 24 | 1 1 2 |
| 65.62 | 19 | 2 2 1 |
| 72.60 | 14 | 1 3 2 |

Structural model:
```
data_HoH5
_chemical_formula_sum 'Ho2 H10'
_symmetry_space_group_name_H-M 'C m m m'
_symmetry_Int_Tables_number 65
_symmetry_space_group_name_Hall '-C 2 2'
_cell_length_a 3.4642
_cell_length_b 7.1618
_cell_length_c 3.4764
_cell_angle_alpha 90.00
_cell_angle_beta 90.00
_cell_angle_gamma 90.00
loop_
_atom_site_label
_atom_site_type_symbol
_atom_site_fract_x
_atom_site_fract_y
_atom_site_fract_z
Ho1 Ho 0.0000 0.0000 0.0000
H1 H 0.0000 0.1792 0.5000
H2 H 0.0000 0.3078 0.0000
H3 H 0.0000 0.5000 0.5000
```

***

What did the second record say?
The following is a computed powder diffraction line list of HoH2I3. It was derived from a crystal structure in Alexandria, relaxed with GGA-PBE, using CuKα.
Lines closer than 0.1° are merged.

The 10 most intense peaks (2θ from 10° to 80°), low angle first:
| two_theta | Rel. int. | (hkl) |
| --- | --- | --- |
| 10.78 | 100 | 1 1 0 |
| 18.64 | 9 | 0 2 1 |
| 23.99 | 10 | 2 2 -1 |
| 25.46 | 13 | 2 2 1 |
| 27.04 | 10 | 3 1 -1 |
| 31.19 | 9 | 2 2 -2 |
| 32.81 | 10 | 1 3 -2 |
| 33.35 | 18 | 3 1 -2 |
| 33.49 | 10 | 2 2 2 |
| 44.27 | 12 | 3 5 0 |

Structural model:
```
data_HoH2I3
_chemical_formula_sum 'Ho4 H8 I12'
_symmetry_space_group_name_H-M 'C 1 2/c 1'
_symmetry_Int_Tables_number 15
_cell_length_a 11.0497
_cell_length_b 12.3285
_cell_length_c 7.5227
_cell_angle_alpha 90.00
_cell_angle_beta 95.34
_cell_angle_gamma 90.00
loop_
_symmetry_equiv_pos_as_xyz
'x,y,z'
'-x,-y,-z'
'-x,y,-z+1/2'
'x,-y,z+1/2'
'x+1/2,y+1/2,z'
'-x+1/2,-y+1/2,-z'
'-x+1/2,y+1/2,-z+1/2'
'x+1/2,-y+1/2,z+1/2'
loop_
_atom_site_label
_atom_site_type_symbol
_atom_site_fract_x
_atom_site_fract_y
_atom_site_fract_z
Ho1 Ho 0.0000 0.0000 0.0000
H1 H 0.0289 0.4965 0.0301
I1 I 0.0000 0.1930 0.2500
I2 I 0.1873 0.0970 0.7756
```